For Mg4Si3, a GGA-PBE-relaxed structure gives the calculated powder XRD pattern in this record (Cu Kα).
Lines closer than 0.1° are merged.

Peak list (8 most intense, 2θ = 5–70°, sorted by position)
23.49 deg, rel. 91, (1 0 1); 30.12 deg, rel. 60, (1 -2 1); 36.74 deg, rel. 100, (0 3 0); 37.62 deg, rel. 71, (-1 1 3); 38.07 deg, rel. 58, (-2 1 1); 42.55 deg, rel. 90, (1 2 -3); 43.67 deg, rel. 62, (1 -3 2); 45.32 deg, rel. 76, (-1 3 2)

```
Mg4Si3
1.0
4.850 0.000 0.000
-1.209 7.405 0.000
-1.307 -1.102 8.134
Mg Si
8 6
Cartesian
0.000 0.000 0.000 Mg
-1.926 6.672 5.027 Mg
0.592 2.684 1.481 Mg
0.280 2.232 4.618 Mg
0.102 4.365 6.671 Mg
0.443 6.910 3.176 Mg
2.649 4.984 2.107 Mg
2.665 2.320 7.067 Mg
0.167 5.257 0.926 Si
0.275 1.101 7.106 Si
1.741 -0.462 6.085 Si
2.675 2.423 3.094 Si
2.647 3.952 4.898 Si
4.077 0.574 2.590 Si
```



For Mg4Si7, a GGA-PBE-relaxed structure gives the calculated powder XRD pattern in this record (Cu Kα).
Lines closer than 0.1° are merged.

Peak list (8 most intense, 2θ = 5–70°, sorted by position)
34.25 deg, rel. 54, (2 1 -1); 35.28 deg, rel. 100, (1 1 -4); 35.79 deg, rel. 51, (2 1 1); 37.51 deg, rel. 52, (2 1 -3); 38.25 deg, rel. 84, (1 1 4); 39.60 deg, rel. 49, (0 1 5); 40.43 deg, rel. 30, (3 0 1); 46.13 deg, rel. 73, (0 2 0)

```
Mg4Si7
1.0
7.045 0.000 0.000
0.000 3.935 0.000
-2.230 0.000 13.946
Mg Si
8 14
Cartesian
0.000 0.000 0.000 Mg
-0.934 1.968 5.877 Mg
0.123 0.000 8.081 Mg
1.888 1.968 3.633 Mg
1.354 1.968 10.242 Mg
1.257 0.000 12.870 Mg
2.379 1.968 6.839 Mg
4.959 1.968 9.069 Mg
-0.542 0.000 3.428 Si
-0.156 1.968 1.961 Si
-0.727 0.000 10.781 Si
-0.882 1.968 12.351 Si
0.990 0.000 5.369 Si
2.046 1.968 0.786 Si
3.381 0.000 1.772 Si
2.777 0.000 8.770 Si
3.472 0.000 4.875 Si
4.865 1.968 0.666 Si
4.592 1.968 3.579 Si
3.494 1.968 12.308 Si
3.797 0.000 10.915 Si
4.524 0.000 7.099 Si
```



For Mg3Si4, a GGA-PBE-relaxed structure gives the calculated powder XRD pattern in this record (Cu Kα).
Lines closer than 0.1° are merged.

Peak list (8 most intense, 2θ = 5–70°, sorted by position)
30.20 deg, rel. 24, (0 1 2); 34.52 deg, rel. 100, (1 1 2); 35.84 deg, rel. 54, (3 0 -1); 37.88 deg, rel. 40, (1 1 -3); 38.32 deg, rel. 31, (0 1 3); 42.41 deg, rel. 33, (3 1 -1); 44.58 deg, rel. 62, (0 2 0); 46.83 deg, rel. 35, (3 1 1)

```
Mg3Si4
1.0
7.513 0.000 0.000
0.000 4.065 0.000
-2.122 0.000 8.635
Mg Si
6 8
Cartesian
0.000 0.000 0.000 Mg
-0.441 0.000 3.423 Mg
0.502 2.032 8.248 Mg
2.167 2.032 4.600 Mg
4.473 0.000 1.284 Mg
4.516 0.000 5.581 Mg
-0.507 2.032 5.310 Si
-0.337 0.000 6.609 Si
1.057 2.032 1.747 Si
2.158 0.000 2.551 Si
2.149 0.000 6.976 Si
3.375 2.032 7.735 Si
5.037 2.032 3.819 Si
6.175 2.032 1.570 Si
```



For Mg3Si4, a GGA-PBE-relaxed structure gives the calculated powder XRD pattern in this record (Cu Kα).
Lines closer than 0.1° are merged.

Peak list (8 most intense, 2θ = 5–70°, sorted by position)
33.13 deg, rel. 33, (1 -2 0); 33.40 deg, rel. 29, (1 2 0); 35.50 deg, rel. 71, (0 1 2); 36.54 deg, rel. 44, (2 -1 1); 36.91 deg, rel. 100, (0 2 -3); 42.37 deg, rel. 32, (2 -2 1); 42.63 deg, rel. 51, (2 2 -1); 42.87 deg, rel. 43, (2 0 -2)

```
Mg3Si4
1.0
5.353 0.000 0.000
-0.041 7.012 0.000
-0.035 -3.494 6.777
Mg Si
6 8
Cartesian
0.000 0.000 0.000 Mg
0.592 4.307 1.178 Mg
1.485 -0.993 5.281 Mg
2.599 3.420 3.348 Mg
3.302 -0.929 2.162 Mg
4.156 0.903 4.835 Mg
-0.004 3.296 3.794 Si
0.587 -0.265 2.704 Si
1.441 1.823 5.269 Si
1.967 1.507 1.403 Si
2.669 3.630 6.311 Si
3.247 3.706 0.618 Si
4.142 -1.914 4.853 Si
4.489 1.869 1.972 Si
```



For Mg4Si3, a GGA-PBE-relaxed structure gives the calculated powder XRD pattern in this record (Cu Kα).
Lines closer than 0.1° are merged.

Peak list (8 most intense, 2θ = 5–70°, sorted by position)
16.75 deg, rel. 72, (0 1 0); 25.04 deg, rel. 61, (0 1 -1); 28.21 deg, rel. 50, (1 0 -1); 31.60 deg, rel. 62, (1 1 2); 39.28 deg, rel. 100, (1 2 2); 40.24 deg, rel. 84, (1 0 -2); 41.90 deg, rel. 86, (2 0 1); 43.39 deg, rel. 66, (-1 2 1)

```
Mg4Si3
1.0
4.419 0.000 0.000
0.970 5.477 0.000
1.665 1.604 6.046
Mg Si
4 3
Cartesian
0.000 0.000 0.000 Mg
2.552 4.351 4.496 Mg
2.436 2.950 1.563 Mg
4.516 1.332 2.953 Mg
3.275 5.681 1.615 Si
4.804 5.712 5.304 Si
4.664 4.072 2.892 Si
```



For Mg4Si3, a GGA-PBE-relaxed structure gives the calculated powder XRD pattern in this record (Cu Kα).
Lines closer than 0.1° are merged.

Peak list (8 most intense, 2θ = 5–70°, sorted by position)
33.31 deg, rel. 66, (-1 2 3); 33.79 deg, rel. 53, (-1 1 4); 34.66 deg, rel. 100, (2 -2 2); 35.83 deg, rel. 71, (2 0 2); 35.95 deg, rel. 68, (1 2 -2); 36.21 deg, rel. 57, (1 1 -4); 38.31 deg, rel. 57, (1 -2 4); 39.44 deg, rel. 78, (0 1 -5)

```
Mg4Si3
1.0
6.490 0.000 0.000
-3.191 7.160 0.000
-1.037 -1.164 11.653
Mg Si
16 12
Cartesian
0.000 0.000 0.000 Mg
-3.331 5.969 5.292 Mg
-2.949 4.665 8.905 Mg
-1.836 5.174 2.628 Mg
-1.641 3.665 11.498 Mg
-0.621 2.849 8.623 Mg
0.534 1.619 5.979 Mg
0.545 1.379 11.288 Mg
0.306 4.987 4.944 Mg
2.467 -0.881 10.249 Mg
2.369 1.826 8.696 Mg
2.567 2.978 3.822 Mg
1.174 5.913 7.997 Mg
1.532 6.805 2.765 Mg
3.863 0.989 5.822 Mg
4.490 2.394 1.146 Mg
-1.281 2.785 4.204 Si
-1.838 3.838 6.419 Si
0.140 0.200 8.611 Si
0.433 1.475 2.450 Si
-1.216 6.382 7.018 Si
0.566 3.914 2.238 Si
2.032 0.250 3.838 Si
2.454 0.404 1.238 Si
1.214 3.939 10.276 Si
2.203 3.670 6.595 Si
2.576 4.675 1.030 Si
4.470 1.079 10.260 Si
```



For Mg4Si7, a GGA-PBE-relaxed structure gives the calculated powder XRD pattern in this record (Cu Kα).
Lines closer than 0.1° are merged.

Peak list (8 most intense, 2θ = 5–70°, sorted by position)
33.27 deg, rel. 47, (1 2 2); 34.82 deg, rel. 37, (1 0 -4); 35.15 deg, rel. 100, (1 -1 4); 35.25 deg, rel. 45, (1 2 -1); 37.10 deg, rel. 69, (-1 2 2); 37.76 deg, rel. 45, (0 1 6); 40.50 deg, rel. 34, (1 0 6); 42.26 deg, rel. 41, (0 3 3)

```
Mg4Si7
1.0
4.241 0.000 0.000
0.486 6.742 0.000
2.115 2.063 14.495
Mg Si
8 14
Cartesian
0.000 0.000 0.000 Mg
1.058 1.031 7.248 Mg
1.900 0.481 2.349 Mg
3.163 2.141 9.403 Mg
3.584 5.722 8.363 Mg
3.257 3.082 6.132 Mg
3.679 6.663 5.092 Mg
4.942 8.324 12.146 Mg
1.540 5.259 6.444 Si
1.056 1.819 4.606 Si
1.267 4.208 4.306 Si
1.073 3.001 0.782 Si
2.907 6.580 11.903 Si
3.529 4.192 11.388 Si
2.414 4.978 0.867 Si
4.427 3.826 13.629 Si
3.313 4.612 3.108 Si
3.935 2.225 2.592 Si
5.769 5.803 13.713 Si
5.575 4.596 10.189 Si
5.786 6.985 9.889 Si
5.302 3.545 8.051 Si
```



For Mg4Si3, a GGA-PBE-relaxed structure gives the calculated powder XRD pattern in this record (Cu Kα).
Lines closer than 0.1° are merged.

Peak list (8 most intense, 2θ = 5–70°, sorted by position)
33.94 deg, rel. 55, (0 1 3); 34.72 deg, rel. 66, (0 2 -1); 35.29 deg, rel. 64, (1 -2 0); 35.90 deg, rel. 46, (1 1 3); 37.81 deg, rel. 78, (1 0 3); 38.33 deg, rel. 54, (-1 2 2); 39.48 deg, rel. 100, (-2 1 1); 43.90 deg, rel. 68, (0 3 2)

```
Mg4Si3
1.0
5.413 0.000 0.000
0.823 6.374 0.000
0.963 2.332 7.644
Mg Si
8 6
Cartesian
0.000 0.000 0.000 Mg
1.045 3.857 4.635 Mg
1.816 5.630 6.901 Mg
1.592 1.785 1.960 Mg
3.060 7.555 5.029 Mg
3.412 4.851 0.643 Mg
3.829 3.419 3.477 Mg
5.042 6.544 3.006 Mg
2.308 5.712 3.088 Si
3.507 3.203 6.767 Si
4.576 5.425 5.959 Si
4.112 2.187 0.797 Si
5.755 7.888 5.439 Si
5.999 4.271 1.807 Si
```



Please write out number 2 again, unchanged.
For Mg4Si7, a GGA-PBE-relaxed structure gives the calculated powder XRD pattern in this record (Cu Kα).
Lines closer than 0.1° are merged.

Peak list (8 most intense, 2θ = 5–70°, sorted by position)
34.25 deg, rel. 54, (2 1 -1); 35.28 deg, rel. 100, (1 1 -4); 35.79 deg, rel. 51, (2 1 1); 37.51 deg, rel. 52, (2 1 -3); 38.25 deg, rel. 84, (1 1 4); 39.60 deg, rel. 49, (0 1 5); 40.43 deg, rel. 30, (3 0 1); 46.13 deg, rel. 73, (0 2 0)

```
Mg4Si7
1.0
7.045 0.000 0.000
0.000 3.935 0.000
-2.230 0.000 13.946
Mg Si
8 14
Cartesian
0.000 0.000 0.000 Mg
-0.934 1.968 5.877 Mg
0.123 0.000 8.081 Mg
1.888 1.968 3.633 Mg
1.354 1.968 10.242 Mg
1.257 0.000 12.870 Mg
2.379 1.968 6.839 Mg
4.959 1.968 9.069 Mg
-0.542 0.000 3.428 Si
-0.156 1.968 1.961 Si
-0.727 0.000 10.781 Si
-0.882 1.968 12.351 Si
0.990 0.000 5.369 Si
2.046 1.968 0.786 Si
3.381 0.000 1.772 Si
2.777 0.000 8.770 Si
3.472 0.000 4.875 Si
4.865 1.968 0.666 Si
4.592 1.968 3.579 Si
3.494 1.968 12.308 Si
3.797 0.000 10.915 Si
4.524 0.000 7.099 Si
```



Q: Which formula does entry 4 have?
A: Mg3Si4